Starting from a structure optimized by DFT (PBE), the powder X-ray diffraction pattern of TaAl2Pb was calculated for Cu Ka.

Cell lengths 5.832, 9.132, 3.082 Å; angles 90.00, 106.77, 90.00 degrees
Space group C2/m (No. 12)
Inequivalent atoms, fractional coordinates:
Ta (0.000, 0.000, 0.000) (multiplicity 2)
Al (0.250, 0.250, 0.500) (multiplicity 4)
Pb (0.000, 0.500, 0.000) (multiplicity 2)

Main lines, most intense first (5 to 70 degrees two-theta):
d = 4.566 Å, 19.4 deg, I 100, hkl 0 2 0
d = 2.478 Å, 36.2 deg, I 78, hkl 0 2 1
d = 2.382 Å, 37.8 deg, I 69, hkl 2 2 0
d = 2.403 Å, 37.4 deg, I 36, hkl 2 0 -1
d = 2.951 Å, 30.3 deg, I 35, hkl 0 0 1
d = 2.283 Å, 39.5 deg, I 31, hkl 0 4 0

Starting from a structure optimized by DFT (PBE), the powder X-ray diffraction pattern of Al2TcPb was calculated for Cu Ka.

Cell lengths 3.224, 3.227, 7.383 Å; angles 90.00, 95.09, 90.00 degrees
Space group P2/m (No. 10)
Inequivalent atoms, fractional coordinates:
Al (0.031, 0.000, 0.175) (multiplicity 2)
Tc (0.500, 0.500, 0.000) (multiplicity 1)
Pb (0.500, 0.500, 0.500) (multiplicity 1)

Main lines, most intense first (5 to 70 degrees two-theta):
d = 2.425 Å, 37.1 deg, I 100, hkl 0 1 2
d = 3.677 Å, 24.2 deg, I 97, hkl 0 0 2
d = 2.276 Å, 39.6 deg, I 94, hkl 1 1 0
d = 3.227 Å, 27.6 deg, I 59, hkl 0 1 0
d = 3.211 Å, 27.8 deg, I 59, hkl 1 0 0
d = 2.532 Å, 35.4 deg, I 53, hkl 1 0 -2

Starting from a structure optimized by DFT (PBE), the powder X-ray diffraction pattern of Al2Te4Pb was calculated for Cu Ka.

Cell lengths 6.773, 11.697, 11.710 Å; angles 90.00, 90.00, 90.00 degrees
Space group Cccm (No. 66)
Inequivalent atoms, fractional coordinates:
Al (0.002, 0.241, 0.000) (multiplicity 8)
Te (0.235, 0.424, 0.500) (multiplicity 8)
Te (0.250, 0.250, 0.175) (multiplicity 8)
Pb (0.000, 0.500, 0.250) (multiplicity 4)

Main lines, most intense first (5 to 70 degrees two-theta):
d = 2.620 Å, 34.2 deg, I 100, hkl 2 2 2
d = 3.248 Å, 27.5 deg, I 93, hkl 1 3 1
d = 2.928 Å, 30.5 deg, I 53, hkl 0 0 4
d = 1.926 Å, 47.2 deg, I 49, hkl 1 3 5
d = 5.861 Å, 15.1 deg, I 37, hkl 1 1 0
d = 4.142 Å, 21.5 deg, I 23, hkl 1 1 2

Starting from a structure optimized by DFT (PBE), the powder X-ray diffraction pattern of Al2Te4Pb was calculated for Cu Ka.

Cell lengths 8.490, 8.490, 6.722 Å; angles 90.00, 90.00, 90.00 degrees
Space group I4/m (No. 87)
Inequivalent atoms, fractional coordinates:
Al (0.000, 0.500, 0.250) (multiplicity 4)
Te (0.158, 0.684, 0.000) (multiplicity 8)
Pb (0.000, 0.000, 0.500) (multiplicity 2)

Main lines, most intense first (5 to 70 degrees two-theta):
d = 3.306 Å, 27.0 deg, I 100, hkl 1 2 1
d = 2.098 Å, 43.1 deg, I 36, hkl 3 1 2
d = 3.361 Å, 26.5 deg, I 28, hkl 0 0 2
d = 2.685 Å, 33.4 deg, I 22, hkl 3 1 0
d = 1.930 Å, 47.1 deg, I 22, hkl 1 2 3
d = 5.270 Å, 16.8 deg, I 21, hkl 1 0 1

Starting from a structure optimized by DFT (PBE), the powder X-ray diffraction pattern of Al4Te7Pb was calculated for Cu Ka.

Cell lengths 16.953, 7.324, 6.902 Å; angles 90.00, 90.00, 90.00 degrees
Space group Pmn2_1 (No. 31)
Inequivalent atoms, fractional coordinates:
Al (0.125, 0.161, 0.000) (multiplicity 4)
Al (0.246, 0.679, 0.990) (multiplicity 4)
Te (0.000, 0.365, 0.907) (multiplicity 2)
Te (0.118, 0.830, 0.869) (multiplicity 4)
Te (0.120, 0.156, 0.388) (multiplicity 4)
Te (0.242, 0.671, 0.382) (multiplicity 4)
Pb (0.000, 0.461, 0.457) (multiplicity 2)

Main lines, most intense first (5 to 70 degrees two-theta):
d = 3.238 Å, 27.5 deg, I 100, hkl 0 2 1
d = 3.668 Å, 24.3 deg, I 64, hkl 4 1 0
d = 3.451 Å, 25.8 deg, I 56, hkl 0 0 2
d = 2.513 Å, 35.7 deg, I 37, hkl 4 1 2
d = 1.805 Å, 50.6 deg, I 34, hkl 8 0 2
d = 2.117 Å, 42.7 deg, I 34, hkl 8 0 0

Starting from a structure optimized by DFT (PBE), the powder X-ray diffraction pattern of AlTlPb2 was calculated for Cu Ka.

Cell lengths 6.485, 10.867, 3.451 Å; angles 90.00, 110.57, 90.00 degrees
Space group C2/m (No. 12)
Inequivalent atoms, fractional coordinates:
Al (0.000, 0.000, 0.000) (multiplicity 2)
Tl (0.000, 0.500, 0.000) (multiplicity 2)
Pb (0.250, 0.250, 0.500) (multiplicity 4)

Main lines, most intense first (5 to 70 degrees two-theta):
d = 2.777 Å, 32.2 deg, I 100, hkl 0 2 1
d = 2.650 Å, 33.8 deg, I 88, hkl 2 2 0
d = 2.745 Å, 32.6 deg, I 49, hkl 2 0 -1
d = 2.717 Å, 33.0 deg, I 47, hkl 0 4 0
d = 1.931 Å, 47.1 deg, I 36, hkl 2 4 -1
d = 5.300 Å, 16.7 deg, I 35, hkl 1 1 0